Theoretical powder diffractogram of AcPr3C8 for Cu Kα (λ = 1.5418 Å), from DFT lattice parameters and positions (GGA-PBE).
Peak positions follow from Bragg's law for the DFT cell and can differ from measured ones.

Principal peaks in the range 10 to 90 degrees two-theta, in order of falling intensity:
2θ 27.9, 3.195 Å, intensity 100
2θ 45.0, 2.015 Å, intensity 60
2θ 24.2, 3.674 Å, intensity 57
2θ 34.5, 2.598 Å, intensity 35
2θ 51.5, 1.774 Å, intensity 20
2θ 69.2, 1.358 Å, intensity 15
2θ 74.3, 1.276 Å, intensity 14
2θ 56.0, 1.643 Å, intensity 14
2θ 57.7, 1.597 Å, intensity 13
2θ 57.9, 1.592 Å, intensity 12
2θ 79.7, 1.203 Å, intensity 12
2θ 49.6, 1.837 Å, intensity 11

Cell and atoms:
a b c (Å): 6.5878 6.5878 6.5878
angles (deg): 112.22 112.22 104.11
Fractional positions:
Ac (0.0000, 0.0000, 0.0000)
Pr (0.2500, 0.7500, 0.5000)
Pr (0.5000, 0.5000, 0.0000)
Pr (0.7500, 0.2500, 0.5000)
C (0.0763, 0.0763, 0.6551)
C (0.1199, 0.5795, 0.0000)
C (0.4205, 0.4205, 0.5403)
C (0.4212, 0.4212, 0.3449)
C (0.5788, 0.9237, 0.0000)
C (0.5795, 0.1199, 0.0000)
C (0.8801, 0.8801, 0.4597)
C (0.9237, 0.5788, 0.0000)